# 1
The following is a calculated XRD peak list of Al2IrOs. It was derived from a crystal structure in OQMD, relaxed with PBE, using Cu Kα X-rays.
Peak positions follow from Bragg's law for the DFT cell and can differ from measured ones.

Crystal structure
a b c (Å): 4.2685 4.2685 3.0122
angles (deg): 90.00 90.00 90.00
Space group P4/mmm (No. 123)
Symmetry-distinct sites (fractional):
1 Al 0.0000 0.5000 0.0000 (multiplicity 2)
2 Ir 0.0000 0.0000 0.5000 (multiplicity 1)
3 Os 0.5000 0.5000 0.5000 (multiplicity 1)

The 6 most intense peaks (15° ≤ 2θ ≤ 90°), in order of rising 2θ:
- 29.62°, intensity 72.7, (1 1 0)
- 42.38°, intensity 100.0, (2 0 0)
- 52.55°, intensity 20.4, (2 0 1)
- 61.44°, intensity 11.2, (2 2 0)
- 69.67°, intensity 17.7, (3 1 0)
- 77.52°, intensity 34.6, (3 1 1)

***

# 2
The following is a calculated XRD peak list of Al4Ir3Pd. It was derived from a crystal structure in OQMD, relaxed with PBE, using Cu Kα X-rays.
Peak positions follow from Bragg's law for the DFT cell and can differ from measured ones.

Crystal structure
a b c (Å): 6.8826 6.8826 8.4541
angles (deg): 90.00 90.00 120.00
Space group R3 (No. 146, hexagonal axes)
Symmetry-distinct sites (fractional):
1 Al 0.0000 0.0000 0.0000 (multiplicity 3)
2 Al 0.0379 0.2719 0.4491 (multiplicity 9)
3 Ir 0.0869 0.6922 0.8882 (multiplicity 9)
4 Pd 0.0000 0.0000 0.6922 (multiplicity 3)

The 6 most intense peaks (15° ≤ 2θ ≤ 90°), in order of rising 2θ:
- 25.88°, intensity 60.2, (1 1 0)
- 31.80°, intensity 29.8, (0 0 3)
- 41.44°, intensity 100.0, (2 -1 3)
- 45.61°, intensity 30.9, (3 -2 2)
- 60.06°, intensity 13.2, (4 -1 2)
- 72.66°, intensity 19.3, (5 -3 2)

***

# 3
The following is a calculated XRD peak list of TbPrAlIr2. It was derived from a crystal structure in OQMD, relaxed with PBE, using Cu Kα X-rays.
Peak positions follow from Bragg's law for the DFT cell and can differ from measured ones.

Crystal structure
a b c (Å): 4.1444 5.8698 8.7904
angles (deg): 90.00 90.00 90.00
Space group Imm2 (No. 44)
Symmetry-distinct sites (fractional):
1 Tb 0.0000 0.0000 0.0000 (multiplicity 2)
2 Pr 0.0000 0.0000 0.6031 (multiplicity 2)
3 Al 0.0000 0.5000 0.8011 (multiplicity 2)
4 Ir 0.0000 0.2575 0.3018 (multiplicity 4)

The 6 most intense peaks (15° ≤ 2θ ≤ 90°), in order of rising 2θ:
- 23.74°, intensity 46.5, (1 0 1)
- 33.41°, intensity 49.2, (1 1 2)
- 36.82°, intensity 81.2, (0 2 2)
- 37.59°, intensity 79.4, (1 0 3)
- 38.97°, intensity 100.0, (1 2 1)
- 58.42°, intensity 43.2, (2 2 2)

***

# 4
The following is a calculated XRD peak list of SrAl5IrPt. It was derived from a crystal structure in OQMD, relaxed with PBE, using Cu Kα X-rays.
Peak positions follow from Bragg's law for the DFT cell and can differ from measured ones.

Crystal structure
a b c (Å): 4.0926 7.3811 10.1808
angles (deg): 90.00 90.00 90.00
Space group Imm2 (No. 44)
Symmetry-distinct sites (fractional):
1 Sr 0.0000 0.0000 0.0000 (multiplicity 2)
2 Al 0.0000 0.1882 0.3420 (multiplicity 4)
3 Al 0.0000 0.1937 0.6583 (multiplicity 4)
4 Al 0.0000 0.5000 0.0016 (multiplicity 2)
5 Ir 0.0000 0.5000 0.7677 (multiplicity 2)
6 Pt 0.0000 0.5000 0.2386 (multiplicity 2)

The 6 most intense peaks (15° ≤ 2θ ≤ 90°), in order of rising 2θ:
- 17.42°, intensity 50.2, (0 0 2)
- 24.11°, intensity 44.1, (0 2 0)
- 24.88°, intensity 36.8, (1 1 0)
- 30.53°, intensity 100.0, (1 1 2)
- 43.18°, intensity 30.5, (0 2 4)
- 46.62°, intensity 40.3, (1 3 2)

***

# 5
The following is a calculated XRD peak list of AlSb2Ir. It was derived from a crystal structure in OQMD, relaxed with PBE, using Cu Kα X-rays.
Peak positions follow from Bragg's law for the DFT cell and can differ from measured ones.

Crystal structure
a b c (Å): 6.8867 6.8867 6.8867
angles (deg): 90.00 90.00 90.00
Space group F-43m (No. 216)
Symmetry-distinct sites (fractional):
1 Al 0.0000 0.0000 0.0000 (multiplicity 4)
2 Sb 0.0000 0.0000 0.5000 (multiplicity 4)
3 Sb 0.2500 0.2500 0.7500 (multiplicity 4)
4 Ir 0.2500 0.2500 0.2500 (multiplicity 4)

The 6 most intense peaks (15° ≤ 2θ ≤ 90°), in order of rising 2θ:
- 22.36°, intensity 15.1, (1 1 1)
- 25.87°, intensity 15.5, (2 0 0)
- 36.92°, intensity 100.0, (2 2 0)
- 53.20°, intensity 17.4, (4 0 0)
- 66.52°, intensity 35.4, (4 2 2)
- 78.58°, intensity 11.1, (4 4 0)

***

# 6
The following is a calculated XRD peak list of AlSi6SbIr. It was derived from a crystal structure in OQMD, relaxed with PBE, using Cu Kα X-rays.
Peak positions follow from Bragg's law for the DFT cell and can differ from measured ones.

Crystal structure
a b c (Å): 8.6962 8.6962 8.6962
angles (deg): 90.00 90.00 90.00
Space group F-43m (No. 216)
Symmetry-distinct sites (fractional):
1 Al 0.0000 0.0000 0.0000 (multiplicity 4)
2 Si 0.0477 0.2500 0.7500 (multiplicity 24)
3 Sb 0.2500 0.2500 0.2500 (multiplicity 4)
4 Ir 0.0000 0.0000 0.5000 (multiplicity 4)

The 6 most intense peaks (15° ≤ 2θ ≤ 90°), in order of rising 2θ:
- 17.66°, intensity 73.1, (1 1 1)
- 29.04°, intensity 100.0, (2 2 0)
- 34.20°, intensity 63.5, (3 1 1)
- 41.54°, intensity 47.1, (4 0 0)
- 45.46°, intensity 41.7, (3 3 1)
- 51.48°, intensity 32.2, (4 2 2)

***

# 7
The following is a calculated XRD peak list of Sc6Al7Ir5. It was derived from a crystal structure in OQMD, relaxed with PBE, using Cu Kα X-rays.
Peak positions follow from Bragg's law for the DFT cell and can differ from measured ones.

Crystal structure
a b c (Å): 9.2027 9.2027 8.2655
angles (deg): 90.00 90.00 120.00
Space group P6_3/mcm (No. 193)
Symmetry-distinct sites (fractional):
1 Sc 0.0000 0.3246 0.0572 (multiplicity 12)
2 Al 0.0000 0.0000 0.0000 (multiplicity 2)
3 Al 0.1672 0.4953 0.7500 (multiplicity 12)
4 Ir 0.0000 0.1765 0.7500 (multiplicity 6)
5 Ir 0.3333 0.6667 0.0000 (multiplicity 4)

The 6 most intense peaks (15° ≤ 2θ ≤ 90°), in order of rising 2θ:
- 19.29°, intensity 49.3, (1 1 0)
- 24.26°, intensity 100.0, (1 0 2)
- 31.61°, intensity 44.2, (2 1 1)
- 40.36°, intensity 90.0, (3 0 2)
- 40.71°, intensity 61.6, (2 2 1)
- 45.10°, intensity 41.8, (2 2 2)

***

# 8
The following is a calculated XRD peak list of Y3Al3SiSnIr. It was derived from a crystal structure in OQMD, relaxed with PBE, using Cu Kα X-rays.
Peak positions follow from Bragg's law for the DFT cell and can differ from measured ones.

Crystal structure
a b c (Å): 7.0882 7.0882 4.2770
angles (deg): 90.00 90.00 120.00
Space group P-6 (No. 174)
Symmetry-distinct sites (fractional):
1 Y 0.0125 0.4152 0.0000 (multiplicity 3)
2 Al 0.0101 0.7794 0.5000 (multiplicity 3)
3 Si 0.3333 0.6667 0.5000 (multiplicity 1)
4 Sn 0.6667 0.3333 0.5000 (multiplicity 1)
5 Ir 0.0000 0.0000 0.0000 (multiplicity 1)

The 6 most intense peaks (15° ≤ 2θ ≤ 90°), in order of rising 2θ:
- 25.13°, intensity 36.5, (1 1 0)
- 25.38°, intensity 41.3, (1 0 1)
- 29.09°, intensity 30.5, (2 0 0)
- 32.82°, intensity 33.1, (1 1 1)
- 36.02°, intensity 100.0, (2 0 1)
- 44.42°, intensity 43.7, (1 2 1)